(1)
This entry pairs a crystal structure of Ac2Pr5Y4 with its theoretical powder X-ray diffraction pattern. Radiation: Cu Ka. Structure: a cell relaxed with GGA-PBE.
No peak broadening, texture or thermal motion is included.

Top 10 peaks for 2θ from 10° to 90°, most intense first:
- 34.2°, I 100
- 29.4°, I 99
- 29.4°, I 51
- 29.7°, I 49
- 58.2°, I 29
- 48.9°, I 24
- 49.2°, I 24
- 58.3°, I 21
- 58.5°, I 14
- 49.3°, I 13

Structural model:
Lattice parameters (Å, degrees): 6.3959 8.3013 8.3225 107.52 97.18 104.65
Fractional positions:
Ac: 0.1383 0.0468 0.2302
Ac: 0.8617 0.9532 0.7698
Pr: 0.2259 0.4135 0.0448
Pr: 0.4097 0.1392 0.6838
Pr: 0.5000 0.5000 0.5000
Pr: 0.5903 0.8608 0.3162
Pr: 0.7741 0.5865 0.9552
Y: 0.0493 0.6750 0.4096
Y: 0.3184 0.7679 0.8614
Y: 0.6816 0.2321 0.1386
Y: 0.9507 0.3250 0.5904

---

(2)
This entry pairs a crystal structure of RbLaPO4 with its theoretical powder X-ray diffraction pattern. Radiation: Cu Ka. Structure: a cell relaxed with GGA-PBE.
No peak broadening, texture or thermal motion is included.

Top 10 peaks for 2θ from 10° to 90°, most intense first:
- 28.3°, I 100
- 17.2°, I 76
- 50.1°, I 37
- 33.3°, I 34
- 44.3°, I 27
- 80.6°, I 20
- 58.6°, I 15
- 53.4°, I 15
- 66.3°, I 15
- 61.5°, I 13

Structural model:
Lattice parameters (Å, degrees): 6.3038 6.3038 6.3038 60.00 60.00 60.00
Fractional positions:
Rb: 0.0000 0.0000 0.0000
La: 0.7500 0.7500 0.7500
P: 0.5000 0.5000 0.5000
O: 0.1972 0.6009 0.6009
O: 0.6009 0.1972 0.6009
O: 0.6009 0.6009 0.1972
O: 0.6009 0.6009 0.6009

---

(3)
This entry pairs a crystal structure of USbTe4 with its theoretical powder X-ray diffraction pattern. Radiation: Cu Ka. Structure: a cell relaxed with GGA-PBE.
No peak broadening, texture or thermal motion is included.

Top 10 peaks for 2θ from 10° to 90°, most intense first:
- 26.8°, I 100
- 12.7°, I 59
- 41.5°, I 55
- 27.0°, I 49
- 35.2°, I 43
- 35.0°, I 31
- 46.0°, I 24
- 50.2°, I 17
- 67.0°, I 15
- 34.9°, I 14

Structural model:
Lattice parameters (Å, degrees): 8.1821 8.1821 7.5543 117.05 117.05 30.84
Fractional positions:
U: 0.0000 0.0000 0.0000
Sb: 0.5000 0.5000 0.5000
Te: 0.1240 0.1240 0.8031
Te: 0.3769 0.3769 0.7197
Te: 0.6231 0.6231 0.2803
Te: 0.8760 0.8760 0.1969

---

(4)
This entry pairs a crystal structure of V2GeSe6 with its theoretical powder X-ray diffraction pattern. Radiation: Cu Ka. Structure: a cell relaxed with GGA-PBE.
No peak broadening, texture or thermal motion is included.

Top 10 peaks for 2θ from 10° to 90°, most intense first:
- 31.7°, I 100
- 20.6°, I 51
- 41.0°, I 50
- 51.2°, I 50
- 32.9°, I 45
- 42.0°, I 27
- 48.8°, I 23
- 53.6°, I 18
- 83.5°, I 17
- 60.1°, I 16

Structural model:
Lattice parameters (Å, degrees): 6.0879 6.0879 11.1909 90.00 90.00 90.00
Fractional positions:
V: 0.0000 0.0000 0.1781
V: 0.0000 0.0000 0.8219
V: 0.5000 0.5000 0.3219
V: 0.5000 0.5000 0.6781
Ge: 0.0000 0.0000 0.5000
Ge: 0.5000 0.5000 0.0000
Se: 0.1761 0.1761 0.0000
Se: 0.2015 0.2015 0.3193
Se: 0.2015 0.2015 0.6807
Se: 0.2985 0.7015 0.1807
Se: 0.2985 0.7015 0.8193
Se: 0.3239 0.6761 0.5000
Se: 0.6761 0.3239 0.5000
Se: 0.7015 0.2985 0.1807
Se: 0.7015 0.2985 0.8193
Se: 0.7985 0.7985 0.3193
Se: 0.7985 0.7985 0.6807
Se: 0.8239 0.8239 0.0000

---

(5)
This entry pairs a crystal structure of Ac7Ge2H2 with its theoretical powder X-ray diffraction pattern. Radiation: Cu Ka. Structure: a cell relaxed with GGA-PBE.
No peak broadening, texture or thermal motion is included.

Top 10 peaks for 2θ from 10° to 90°, most intense first:
- 27.9°, I 100
- 33.4°, I 20
- 30.4°, I 17
- 29.0°, I 17
- 26.6°, I 15
- 46.9°, I 13
- 27.3°, I 13
- 48.7°, I 13
- 53.6°, I 9
- 38.9°, I 9

Structural model:
Lattice parameters (Å, degrees): 7.6187 7.6187 6.5861 93.65 93.65 114.09
Fractional positions:
Ac: 0.0000 0.0000 0.0000
Ac: 0.1298 0.5366 0.2595
Ac: 0.3430 0.3430 0.7240
Ac: 0.4634 0.8702 0.7405
Ac: 0.5366 0.1298 0.2595
Ac: 0.6570 0.6570 0.2760
Ac: 0.8702 0.4634 0.7405
Ge: 0.1002 0.8998 0.5000
Ge: 0.8998 0.1002 0.5000
H: 0.3274 0.3274 0.1270
H: 0.6726 0.6726 0.8730